1.
Ni3Mo2: simulated powder diffraction line list (λ = 1.5418 Å (Cu Kα)), based on a crystal structure in Alexandria, relaxed with GGA-PBE.
Lines closer than 0.1° are merged.

Top 10 peaks for 2θ = 10–90°, by angle:
16.50°, rel. 6.2
24.86°, rel. 2.7
41.80°, rel. 100.0
42.04°, rel. 31.9
48.72°, rel. 62.1
71.20°, rel. 19.1
71.54°, rel. 17.9
86.12°, rel. 11.5
86.28°, rel. 22.4
86.60°, rel. 10.5

Cell lengths 10.854, 10.854, 10.854 Å; angles 14.02, 14.02, 14.02 degrees
Fractional coordinates of all 5 atoms:
Ni 0.000 0.000 0.000
Ni 0.198 0.198 0.198
Ni 0.802 0.802 0.802
Mo 0.402 0.402 0.402
Mo 0.598 0.598 0.598


2.
Ba3In3Pd: simulated powder diffraction line list (λ = 1.5418 Å (Cu Kα)), based on a crystal structure in Alexandria, relaxed with GGA-PBE.
Lines closer than 0.1° are merged.

Top 10 peaks for 2θ = 10–90°, by angle:
13.30°, rel. 18.1
26.81°, rel. 15.1
27.74°, rel. 27.7
28.49°, rel. 100.0
31.69°, rel. 22.5
32.24°, rel. 20.2
32.42°, rel. 34.2
33.07°, rel. 33.6
40.83°, rel. 27.7
43.75°, rel. 17.7

Cell lengths 7.040, 7.040, 17.709 Å; angles 106.04, 106.04, 36.59 degrees
Fractional coordinates of all 14 atoms:
Ba 0.015 0.015 0.392
Ba 0.119 0.119 0.921
Ba 0.239 0.239 0.243
Ba 0.761 0.761 0.757
Ba 0.881 0.881 0.079
Ba 0.985 0.985 0.608
In 0.311 0.311 0.460
In 0.401 0.401 0.921
In 0.474 0.474 0.765
In 0.526 0.526 0.235
In 0.599 0.599 0.079
In 0.689 0.689 0.540
Pd 0.298 0.298 0.622
Pd 0.702 0.702 0.378


3.
TbSBr: simulated powder diffraction line list (λ = 1.5418 Å (Cu Kα)), based on a crystal structure in Alexandria, relaxed with GGA-PBE.
Lines closer than 0.1° are merged.

Top 10 peaks for 2θ = 10–90°, by angle:
18.35°, rel. 61.5
21.19°, rel. 93.6
23.93°, rel. 66.8
26.39°, rel. 62.4
30.24°, rel. 100.0
30.94°, rel. 50.2
34.20°, rel. 74.7
37.20°, rel. 65.7
37.92°, rel. 57.5
48.11°, rel. 37.1

Cell lengths 6.887, 6.912, 6.861 Å; angles 90.00, 100.17, 90.00 degrees
Fractional coordinates of all 12 atoms:
Tb 0.178 0.037 0.292
Tb 0.178 0.463 0.792
Tb 0.822 0.537 0.208
Tb 0.822 0.963 0.708
S 0.055 0.740 0.509
S 0.055 0.760 0.009
S 0.945 0.240 0.991
S 0.945 0.260 0.491
Br 0.423 0.132 0.695
Br 0.423 0.368 0.195
Br 0.577 0.632 0.805
Br 0.577 0.868 0.305